1.
The following is a calculated powder diffraction line list of Ta3Mn2N. It was derived from the PBE geometry in Alexandria, using Cu Ka.

Most intense lines, 2θ from 10° to 90°, by angle:
2theta  d (Å)  Rel. int.  (hkl)
28.92  3.088  20  2 1 0
39.14  2.302  100  2 2 1
41.35  2.183  60  3 1 0
43.47  2.082  20  3 1 1
69.41  1.354  20  4 3 1
73.92  1.282  21  5 2 0

Cell and atoms:
```
data_Ta3Mn2N
_chemical_formula_sum 'Ta12 Mn8 N4'
_symmetry_space_group_name_H-M 'P 41 3 2'
_symmetry_Int_Tables_number 213
_symmetry_space_group_name_Hall 'P 4bd 2ab 3'
_cell_length_a 6.905
_cell_length_b 6.905
_cell_length_c 6.905
_cell_angle_alpha 90.00
_cell_angle_beta 90.00
_cell_angle_gamma 90.00
loop_
_atom_site_label
_atom_site_fract_x
_atom_site_fract_y
_atom_site_fract_z
_atom_site_occupancy
Ta1 0.045 0.125 0.795 1
Mn1 0.075 0.925 0.425 1
N1 0.125 0.375 0.625 1
```

***

2.
The following is a calculated powder diffraction line list of TbThMnN4. It was derived from the PBE geometry in Alexandria, using Cu Ka.

Most intense lines, 2θ from 10° to 90°, by angle:
2theta  d (Å)  Rel. int.  (hkl)
25.19  3.535  37  1 0 1
32.30  2.772  100  1 0 3
34.44  2.604  56  1 1 0
45.13  2.009  28  1 1 4
49.51  1.841  25  2 0 0
60.35  1.534  35  2 1 3

Cell and atoms:
```
data_TbThMnN4
_chemical_formula_sum 'Tb2 Th2 Mn2 N8'
_symmetry_space_group_name_H-M 'I 4 m m'
_symmetry_Int_Tables_number 107
_symmetry_space_group_name_Hall 'I 4 -2'
_cell_length_a 3.682
_cell_length_b 3.682
_cell_length_c 12.632
_cell_angle_alpha 90.00
_cell_angle_beta 90.00
_cell_angle_gamma 90.00
loop_
_atom_site_label
_atom_site_fract_x
_atom_site_fract_y
_atom_site_fract_z
_atom_site_occupancy
Tb1 0.000 0.000 0.000 1
Th1 0.000 0.000 0.290 1
Mn1 0.000 0.000 0.640 1
N1 0.000 0.000 0.472 1
N2 0.000 0.000 0.816 1
N3 0.000 0.500 0.143 1
```

***

3.
The following is a calculated powder diffraction line list of Tb2YMnN4. It was derived from the PBE geometry in Alexandria, using Cu Ka.

Most intense lines, 2θ from 10° to 90°, by angle:
2theta  d (Å)  Rel. int.  (hkl)
27.92  3.195  67  0 2 3
30.91  2.893  35  0 0 4
31.37  2.852  66  0 4 0
31.71  2.822  98  1 1 2
38.95  2.312  100  1 3 2
48.37  1.882  34  1 1 5

Cell and atoms:
```
data_Tb2YMnN4
_chemical_formula_sum 'Tb8 Y4 Mn4 N16'
_symmetry_space_group_name_H-M 'C m c m'
_symmetry_Int_Tables_number 63
_symmetry_space_group_name_Hall '-C 2c 2'
_cell_length_a 3.371
_cell_length_b 11.407
_cell_length_c 11.573
_cell_angle_alpha 90.00
_cell_angle_beta 90.00
_cell_angle_gamma 90.00
loop_
_atom_site_label
_atom_site_fract_x
_atom_site_fract_y
_atom_site_fract_z
_atom_site_occupancy
Tb1 0.000 0.132 0.043 1
Y1 0.000 0.381 0.250 1
Mn1 0.000 0.348 0.750 1
N1 0.000 0.076 0.250 1
N2 0.000 0.232 0.634 1
N3 0.000 0.500 0.000 1
```

***

4.
The following is a calculated powder diffraction line list of Ti4MnN5. It was derived from the PBE geometry in Alexandria, using Cu Ka.

Most intense lines, 2θ from 10° to 90°, by angle:
2theta  d (Å)  Rel. int.  (hkl)
36.67  2.451  100  1 2 1
42.48  2.128  96  3 1 0
42.82  2.112  47  0 0 2
61.64  1.505  27  2 4 0
61.90  1.499  53  3 1 2
73.91  1.282  25  5 0 1

Cell and atoms:
```
data_Ti4MnN5
_chemical_formula_sum 'Ti8 Mn2 N10'
_symmetry_space_group_name_H-M 'I 4/m'
_symmetry_Int_Tables_number 87
_symmetry_space_group_name_Hall '-I 4'
_cell_length_a 6.729
_cell_length_b 6.729
_cell_length_c 4.224
_cell_angle_alpha 90.00
_cell_angle_beta 90.00
_cell_angle_gamma 90.00
loop_
_atom_site_label
_atom_site_fract_x
_atom_site_fract_y
_atom_site_fract_z
_atom_site_occupancy
Ti1 0.106 0.701 0.000 1
Mn1 0.000 0.000 0.500 1
N1 0.000 0.000 0.000 1
N2 0.100 0.698 0.500 1
```

***

5.
The following is a calculated powder diffraction line list of MnWN2. It was derived from the PBE geometry in Alexandria, using Cu Ka.

Most intense lines, 2θ from 10° to 90°, by angle:
2theta  d (Å)  Rel. int.  (hkl)
17.23  5.146  82  0 0 2
35.16  2.553  100  1 0 1
38.38  2.345  59  1 0 2
43.30  2.090  70  1 0 3
56.75  1.622  28  1 0 5
60.89  1.521  30  1 1 0

Cell and atoms:
```
data_MnWN2
_chemical_formula_sum 'Mn2 W2 N4'
_symmetry_space_group_name_H-M 'P 63 m c'
_symmetry_Int_Tables_number 186
_symmetry_space_group_name_Hall 'P 6c -2c'
_cell_length_a 3.0427
_cell_length_b 3.0427
_cell_length_c 10.2913
_cell_angle_alpha 90.00
_cell_angle_beta 90.00
_cell_angle_gamma 120.00
loop_
_atom_site_label
_atom_site_fract_x
_atom_site_fract_y
_atom_site_fract_z
_atom_site_occupancy
Mn1 0.0000 0.0000 0.0000 1
W1 0.3333 0.6667 0.3065 1
N1 0.0000 0.0000 0.1954 1
N2 0.3333 0.6667 0.9568 1
```

***

6.
The following is a calculated powder diffraction line list of Y2Mn2N. It was derived from the PBE geometry in Alexandria, using Cu Ka.

Most intense lines, 2θ from 10° to 90°, by angle:
2theta  d (Å)  Rel. int.  (hkl)
31.70  2.823  25  2 0 0
34.58  2.594  39  0 0 2
39.70  2.270  100  2 1 1
47.61  1.910  15  2 0 2
65.42  1.427  21  2 1 3
71.22  1.324  21  4 1 1

Cell and atoms:
```
data_Y2Mn2N
_chemical_formula_sum 'Y4 Mn4 N2'
_symmetry_space_group_name_H-M 'P 4/m b m'
_symmetry_Int_Tables_number 127
_symmetry_space_group_name_Hall '-P 4 2ab'
_cell_length_a 5.646
_cell_length_b 5.646
_cell_length_c 5.187
_cell_angle_alpha 90.00
_cell_angle_beta 90.00
_cell_angle_gamma 90.00
loop_
_atom_site_label
_atom_site_fract_x
_atom_site_fract_y
_atom_site_fract_z
_atom_site_occupancy
Y1 0.171 0.329 0.000 1
Mn1 0.177 0.677 0.500 1
N1 0.000 0.000 0.500 1
```

***

7.
The following is a calculated powder diffraction line list of Mn2ZnN. It was derived from the PBE geometry in Alexandria, using Cu Ka.

Most intense lines, 2θ from 10° to 90°, by angle:
2theta  d (Å)  Rel. int.  (hkl)
37.31  2.410  31  1 0 1
41.58  2.172  85  1 0 4
41.94  2.154  40  0 0 9
43.99  2.059  100  0 1 5
66.69  1.403  35  1 1 0
81.98  1.175  30  1 1 9

Cell and atoms:
```
data_Mn2ZnN
_chemical_formula_sum 'Mn6 Zn3 N3'
_symmetry_space_group_name_H-M 'R 3 m'
_symmetry_Int_Tables_number 160
_symmetry_space_group_name_Hall 'R 3 -2"'
_cell_length_a 2.8050
_cell_length_b 2.8050
_cell_length_c 19.3881
_cell_angle_alpha 90.00
_cell_angle_beta 90.00
_cell_angle_gamma 120.00
loop_
_atom_site_label
_atom_site_fract_x
_atom_site_fract_y
_atom_site_fract_z
_atom_site_occupancy
Mn1 0.0000 0.0000 0.0000 1
Mn2 0.0000 0.0000 0.2200 1
Zn1 0.0000 0.0000 0.7770 1
N1 0.0000 0.0000 0.6099 1
```

***

8.
The following is a calculated powder diffraction line list of Mn3Zn3N. It was derived from the PBE geometry in Alexandria, using Cu Ka.

Most intense lines, 2θ from 10° to 90°, by angle:
2theta  d (Å)  Rel. int.  (hkl)
40.12  2.247  28  4 2 2
42.67  2.119  100  3 3 3
46.67  1.946  27  4 4 0
49.68  1.835  10  4 4 2
72.90  1.298  26  6 6 0
88.32  1.107  17  9 3 3

Cell and atoms:
a b c (Å): 11.010 11.010 11.010
angles (deg): 90.00 90.00 90.00
Space group Fd-3m (No. 227, origin choice 2)
Symmetry-distinct sites (fractional):
Mn 0.055 0.375 0.375
Zn 0.000 0.000 0.500
Zn 0.036 0.036 0.714
N 0.000 0.000 0.000

***

9.
The following is a calculated powder diffraction line list of Mn10ZnN8. It was derived from the PBE geometry in Alexandria, using Cu Ka.

Most intense lines, 2θ from 10° to 90°, by angle:
2theta  d (Å)  Rel. int.  (hkl)
37.95  2.371  100  1 1 2
38.26  2.353  98  5 1 -1
42.91  2.108  60  4 0 -3
44.63  2.030  64  0 2 0
45.29  2.002  55  6 0 1
65.47  1.426  32  6 2 1

Cell and atoms:
```
data_Mn10ZnN8
_chemical_formula_sum 'Mn20 Zn2 N16'
_symmetry_space_group_name_H-M 'C 1 2/m 1'
_symmetry_Int_Tables_number 12
_symmetry_space_group_name_Hall '-C 2y'
_cell_length_a 14.596
_cell_length_b 4.061
_cell_length_c 6.654
_cell_angle_alpha 90.00
_cell_angle_beta 107.10
_cell_angle_gamma 90.00
loop_
_atom_site_label
_atom_site_fract_x
_atom_site_fract_y
_atom_site_fract_z
_atom_site_occupancy
Mn1 0.041 0.000 0.222 1
Mn2 0.098 0.500 0.965 1
Mn3 0.147 0.000 0.710 1
Mn4 0.179 0.500 0.423 1
Mn5 0.216 0.000 0.176 1
Zn1 0.000 0.500 0.500 1
N1 0.047 0.500 0.223 1
N2 0.098 0.000 0.954 1
N3 0.147 0.500 0.712 1
N4 0.176 0.000 0.428 1
```